This entry pairs a crystal structure of Dy2Er7Pu with its computed powder diffractogram. Radiation: a wavelength of 1.5418 Å. Structure: DFT lattice parameters and positions (PBE).
Kinematic intensities with the Lorentz-polarization factor, no thermal factor.

```
Dy2Er7Pu
1.0
-1.7880 5.7542 8.0796
1.7880 -5.7542 8.0796
1.7880 5.7542 -8.0796
Dy Er Pu
2 7 1
Direct
0.1654 0.1654 0.0000 Dy
0.8346 0.8346 0.0000 Dy
0.0997 0.3486 0.7511 Er
0.3281 0.8281 0.5000 Er
0.4024 0.6514 0.7511 Er
0.5000 0.5000 0.0000 Er
0.5976 0.3486 0.2489 Er
0.6719 0.1719 0.5000 Er
0.9003 0.6514 0.2489 Er
0.0000 0.5000 0.5000 Pu
```

Main lines, sorted by position (5° ≤ 2θ ≤ 70°):
2θ/deg, I (rel.)
15.40, 89
26.97, 124
29.96, 87
31.08, 324
33.27, 237
33.88, 1000
46.17, 192
57.11, 228
59.84, 150
61.01, 96